For Pr3Ga5Rh6, a DFT-relaxed cell (GGA-PBE, Alexandria) gives the calculated powder XRD pattern in this record (CuKα).

```
data_Pr3Ga5Rh6
_chemical_formula_sum 'Pr6 Ga10 Rh12'
_space_group_name_H-M_alt 'P 1'
_space_group_IT_number 1
_cell_length_a 4.3056
_cell_length_b 13.0968
_cell_length_c 9.1270
_cell_angle_alpha 90.00
_cell_angle_beta 90.00
_cell_angle_gamma 90.00
loop_
_space_group_symop_operation_xyz
'x,y,z'
loop_
_atom_site_label
_atom_site_fract_x
_atom_site_fract_y
_atom_site_fract_z
_atom_site_occupancy
Pr1 0.2500 0.0531 0.2491 1
Pr2 0.2500 0.4469 0.2491 1
Pr3 0.2500 0.7500 0.2295 1
Pr4 0.7500 0.2500 0.7705 1
Pr5 0.7500 0.5531 0.7509 1
Pr6 0.7500 0.9469 0.7509 1
Ga1 0.2500 0.0970 0.8791 1
Ga2 0.2500 0.4030 0.8791 1
Ga3 0.2500 0.6322 0.5208 1
Ga4 0.2500 0.7500 0.7999 1
Ga5 0.2500 0.8678 0.5208 1
Ga6 0.7500 0.1322 0.4792 1
Ga7 0.7500 0.2500 0.2001 1
Ga8 0.7500 0.3678 0.4792 1
Ga9 0.7500 0.5970 0.1209 1
Ga10 0.7500 0.9030 0.1209 1
Rh1 0.2500 0.0618 0.5969 1
Rh2 0.2500 0.2500 0.0499 1
Rh3 0.2500 0.2500 0.4185 1
Rh4 0.2500 0.4382 0.5969 1
Rh5 0.2500 0.5881 0.9762 1
Rh6 0.2500 0.9119 0.9762 1
Rh7 0.7500 0.0881 0.0238 1
Rh8 0.7500 0.4119 0.0238 1
Rh9 0.7500 0.5618 0.4031 1
Rh10 0.7500 0.7500 0.5815 1
Rh11 0.7500 0.7500 0.9501 1
Rh12 0.7500 0.9382 0.4031 1
```

Principal peaks in the range 2θ from 10° to 90°, sorted by position:
2θ (°), Rel. int.
33.69, 14
35.27, 100
35.83, 17
35.98, 36
36.15, 31
38.76, 37
40.30, 16
41.36, 25
41.55, 15
41.97, 50
56.45, 20
60.39, 16

=====

For Pr2Ga6Rh9, a DFT-relaxed cell (GGA-PBE, Alexandria) gives the calculated powder XRD pattern in this record (CuKα).

```
data_Pr2Ga6Rh9
_chemical_formula_sum 'Pr2 Ga6 Rh9'
_space_group_name_H-M_alt 'P 1'
_space_group_IT_number 1
_cell_length_a 5.6134
_cell_length_b 5.6134
_cell_length_c 11.5883
_cell_angle_alpha 90.00
_cell_angle_beta 90.00
_cell_angle_gamma 120.00
loop_
_space_group_symop_operation_xyz
'x,y,z'
loop_
_atom_site_label
_atom_site_fract_x
_atom_site_fract_y
_atom_site_fract_z
_atom_site_occupancy
Pr1 0.0000 0.0000 0.1980 1
Pr2 0.0000 0.0000 0.8020 1
Ga1 0.3333 0.6667 0.1649 1
Ga2 0.3333 0.6667 0.5000 1
Ga3 0.3333 0.6667 0.8351 1
Ga4 0.6667 0.3333 0.1649 1
Ga5 0.6667 0.3333 0.5000 1
Ga6 0.6667 0.3333 0.8351 1
Rh1 0.0000 0.5000 0.0000 1
Rh2 0.0000 0.5000 0.3311 1
Rh3 0.0000 0.5000 0.6689 1
Rh4 0.5000 0.0000 0.0000 1
Rh5 0.5000 0.0000 0.3311 1
Rh6 0.5000 0.0000 0.6689 1
Rh7 0.5000 0.5000 0.0000 1
Rh8 0.5000 0.5000 0.3311 1
Rh9 0.5000 0.5000 0.6689 1
```

Principal peaks in the range 2θ from 10° to 90°, sorted by position:
2θ (°), Rel. int.
18.25, 25
23.89, 19
29.54, 25
36.98, 63
39.70, 100
44.02, 66
47.05, 23
61.30, 19
62.12, 26
66.64, 30
85.31, 17
85.54, 24

=====

For Pr2GaSiRh6, a DFT-relaxed cell (GGA-PBE, Alexandria) gives the calculated powder XRD pattern in this record (CuKα).

```
data_Pr2GaSiRh6
_chemical_formula_sum 'Pr2 Ga1 Si1 Rh6'
_space_group_name_H-M_alt 'P 1'
_space_group_IT_number 1
_cell_length_a 6.4532
_cell_length_b 6.4532
_cell_length_c 6.4532
_cell_angle_alpha 120.07
_cell_angle_beta 119.92
_cell_angle_gamma 90.00
loop_
_space_group_symop_operation_xyz
'x,y,z'
loop_
_atom_site_label
_atom_site_fract_x
_atom_site_fract_y
_atom_site_fract_z
_atom_site_occupancy
Pr1 0.2500 0.2500 0.0000 1
Pr2 0.7500 0.7500 0.0000 1
Ga1 0.5000 0.0000 0.5000 1
Si1 0.0000 0.5000 0.5000 1
Rh1 0.2437 0.2563 0.5001 1
Rh2 0.2437 0.7437 0.5000 1
Rh3 0.2437 0.7437 0.9874 1
Rh4 0.7563 0.2563 0.0126 1
Rh5 0.7563 0.2563 0.5000 1
Rh6 0.7563 0.7437 0.4999 1
```

Principal peaks in the range 2θ from 10° to 90°, sorted by position:
2θ (°), Rel. int.
27.65, 12
34.03, 100
39.50, 77
43.21, 2
48.89, 5
57.08, 43
57.16, 9
64.59, 2
68.16, 38
71.58, 9
71.70, 9
85.03, 8

=====

For Pr2TmGa3Rh4, a DFT-relaxed cell (GGA-PBE, Alexandria) gives the calculated powder XRD pattern in this record (CuKα).

```
data_Pr2TmGa3Rh4
_chemical_formula_sum 'Pr2 Tm1 Ga3 Rh4'
_space_group_name_H-M_alt 'P 1'
_space_group_IT_number 1
_cell_length_a 4.2822
_cell_length_b 4.2822
_cell_length_c 10.9534
_cell_angle_alpha 90.00
_cell_angle_beta 90.00
_cell_angle_gamma 90.00
loop_
_space_group_symop_operation_xyz
'x,y,z'
loop_
_atom_site_label
_atom_site_fract_x
_atom_site_fract_y
_atom_site_fract_z
_atom_site_occupancy
Pr1 0.0000 0.5000 0.2242 1
Pr2 0.5000 0.0000 0.7758 1
Tm1 0.0000 0.0000 0.5000 1
Ga1 0.0000 0.5000 0.8823 1
Ga2 0.5000 0.0000 0.1177 1
Ga3 0.5000 0.5000 0.5000 1
Rh1 0.0000 0.0000 0.0000 1
Rh2 0.0000 0.5000 0.6508 1
Rh3 0.5000 0.0000 0.3492 1
Rh4 0.5000 0.5000 0.0000 1
```

Principal peaks in the range 2θ from 10° to 90°, sorted by position:
2θ (°), Rel. int.
26.42, 9
32.22, 37
33.83, 100
39.04, 13
42.21, 54
44.61, 22
46.57, 16
54.07, 17
59.08, 9
61.22, 18
64.65, 12
71.81, 22

=====

For Pr2Ga5Ru3, a DFT-relaxed cell (GGA-PBE, Alexandria) gives the calculated powder XRD pattern in this record (CuKα).

```
data_Pr2Ga5Ru3
_chemical_formula_sum 'Pr4 Ga10 Ru6'
_space_group_name_H-M_alt 'P 1'
_space_group_IT_number 1
_cell_length_a 8.7011
_cell_length_b 8.7011
_cell_length_c 8.7011
_cell_angle_alpha 109.83
_cell_angle_beta 83.42
_cell_angle_gamma 140.84
loop_
_space_group_symop_operation_xyz
'x,y,z'
loop_
_atom_site_label
_atom_site_fract_x
_atom_site_fract_y
_atom_site_fract_z
_atom_site_occupancy
Pr1 0.1416 0.2281 0.3697 1
Pr2 0.3584 0.7281 0.0866 1
Pr3 0.6416 0.2719 0.9134 1
Pr4 0.8584 0.7719 0.6303 1
Ga1 0.0478 0.7500 0.2978 1
Ga2 0.0852 0.6810 0.7662 1
Ga3 0.2500 0.2500 0.0000 1
Ga4 0.4148 0.1810 0.5959 1
Ga5 0.4522 0.7500 0.7022 1
Ga6 0.5478 0.2500 0.2978 1
Ga7 0.5852 0.8190 0.4041 1
Ga8 0.7500 0.7500 0.0000 1
Ga9 0.9148 0.3190 0.2338 1
Ga10 0.9522 0.2500 0.7022 1
Ru1 0.1503 0.9195 0.0698 1
Ru2 0.2500 0.7500 0.5000 1
Ru3 0.3497 0.4195 0.7692 1
Ru4 0.6503 0.5805 0.2308 1
Ru5 0.7500 0.2500 0.5000 1
Ru6 0.8497 0.0805 0.9302 1
```

Principal peaks in the range 2θ from 10° to 90°, sorted by position:
2θ (°), Rel. int.
32.77, 30
32.88, 57
33.91, 100
35.65, 83
35.91, 23
38.29, 35
39.83, 39
41.64, 93
41.79, 25
56.14, 22
56.62, 23
65.94, 21

=====

For Pr2Ga9Ru3, a DFT-relaxed cell (GGA-PBE, Alexandria) gives the calculated powder XRD pattern in this record (CuKα).

```
data_Pr2Ga9Ru3
_chemical_formula_sum 'Pr4 Ga18 Ru6'
_space_group_name_H-M_alt 'P 1'
_space_group_IT_number 1
_cell_length_a 7.5623
_cell_length_b 7.5623
_cell_length_c 9.9042
_cell_angle_alpha 90.00
_cell_angle_beta 90.00
_cell_angle_gamma 60.85
loop_
_space_group_symop_operation_xyz
'x,y,z'
loop_
_atom_site_label
_atom_site_fract_x
_atom_site_fract_y
_atom_site_fract_z
_atom_site_occupancy
Pr1 0.0020 0.6728 0.7500 1
Pr2 0.3272 0.9980 0.7500 1
Pr3 0.6728 0.0020 0.2500 1
Pr4 0.9980 0.3272 0.2500 1
Ga1 0.0103 0.6632 0.0728 1
Ga2 0.0103 0.6632 0.4272 1
Ga3 0.1336 0.8664 0.2500 1
Ga4 0.3368 0.9897 0.0728 1
Ga5 0.3368 0.9897 0.4272 1
Ga6 0.3383 0.4513 0.2500 1
Ga7 0.3394 0.6606 0.5563 1
Ga8 0.3394 0.6606 0.9437 1
Ga9 0.4513 0.3383 0.7500 1
Ga10 0.5487 0.6617 0.2500 1
Ga11 0.6606 0.3394 0.0563 1
Ga12 0.6606 0.3394 0.4437 1
Ga13 0.6617 0.5487 0.7500 1
Ga14 0.6632 0.0103 0.5728 1
Ga15 0.6632 0.0103 0.9272 1
Ga16 0.8664 0.1336 0.7500 1
Ga17 0.9897 0.3368 0.5728 1
Ga18 0.9897 0.3368 0.9272 1
Ru1 0.0000 0.0000 0.0000 1
Ru2 0.0000 0.0000 0.5000 1
Ru3 0.3254 0.3254 0.0000 1
Ru4 0.3254 0.3254 0.5000 1
Ru5 0.6746 0.6746 0.0000 1
Ru6 0.6746 0.6746 0.5000 1
```

Principal peaks in the range 2θ from 10° to 90°, sorted by position:
2θ (°), Rel. int.
29.73, 17
35.90, 56
36.12, 100
36.28, 35
37.34, 18
40.34, 15
40.84, 16
41.00, 84
41.55, 40
45.07, 15
55.89, 17
71.23, 20

=====

For Pr2Ga9Ru6, a DFT-relaxed cell (GGA-PBE, Alexandria) gives the calculated powder XRD pattern in this record (CuKα).

```
data_Pr2Ga9Ru6
_chemical_formula_sum 'Pr2 Ga9 Ru6'
_space_group_name_H-M_alt 'P 1'
_space_group_IT_number 1
_cell_length_a 5.5459
_cell_length_b 5.5459
_cell_length_c 12.0227
_cell_angle_alpha 90.00
_cell_angle_beta 90.00
_cell_angle_gamma 120.00
loop_
_space_group_symop_operation_xyz
'x,y,z'
loop_
_atom_site_label
_atom_site_fract_x
_atom_site_fract_y
_atom_site_fract_z
_atom_site_occupancy
Pr1 0.0000 0.0000 0.1684 1
Pr2 0.0000 0.0000 0.8316 1
Ga1 0.0000 0.5000 0.0000 1
Ga2 0.0000 0.5000 0.3377 1
Ga3 0.0000 0.5000 0.6623 1
Ga4 0.5000 0.0000 0.0000 1
Ga5 0.5000 0.0000 0.3377 1
Ga6 0.5000 0.0000 0.6623 1
Ga7 0.5000 0.5000 0.0000 1
Ga8 0.5000 0.5000 0.3377 1
Ga9 0.5000 0.5000 0.6623 1
Ru1 0.3333 0.6667 0.1714 1
Ru2 0.3333 0.6667 0.5000 1
Ru3 0.3333 0.6667 0.8286 1
Ru4 0.6667 0.3333 0.1714 1
Ru5 0.6667 0.3333 0.5000 1
Ru6 0.6667 0.3333 0.8286 1
```

Principal peaks in the range 2θ from 10° to 90°, sorted by position:
2θ (°), Rel. int.
18.47, 18
19.91, 10
32.28, 32
37.45, 20
39.52, 100
43.96, 27
45.25, 22
56.68, 13
62.47, 25
67.56, 19
79.67, 12
85.09, 20

=====

For PrGa2SiRu2, a DFT-relaxed cell (GGA-PBE, Alexandria) gives the calculated powder XRD pattern in this record (CuKα).

```
data_PrGa2SiRu2
_chemical_formula_sum 'Pr1 Ga2 Si1 Ru2'
_space_group_name_H-M_alt 'P 1'
_space_group_IT_number 1
_cell_length_a 4.4403
_cell_length_b 4.4403
_cell_length_c 5.7641
_cell_angle_alpha 90.00
_cell_angle_beta 90.00
_cell_angle_gamma 90.00
loop_
_space_group_symop_operation_xyz
'x,y,z'
loop_
_atom_site_label
_atom_site_fract_x
_atom_site_fract_y
_atom_site_fract_z
_atom_site_occupancy
Pr1 0.0000 0.0000 0.0000 1
Ga1 0.5000 0.5000 0.2319 1
Ga2 0.5000 0.5000 0.7681 1
Si1 0.0000 0.0000 0.5000 1
Ru1 0.0000 0.5000 0.5000 1
Ru2 0.5000 0.0000 0.5000 1
```

Principal peaks in the range 2θ from 10° to 90°, sorted by position:
2θ (°), Rel. int.
25.32, 15
31.03, 14
32.47, 100
37.19, 60
40.64, 65
42.58, 13
51.99, 13
56.12, 13
56.26, 36
58.82, 22
68.82, 22
79.25, 17